Structure and simulated X-ray diffraction stick pattern of Ac6NiRh2 (a structure optimized by DFT (PBE); Cu Kα (λ = 1.5418 Å)).

Peak list (10 most intense, 15° ≤ 2θ ≤ 90°, low angle first)
2θ (°), intensity
24.58, 100
26.47, 98
27.11, 64
30.37, 55
31.10, 72
38.63, 32
41.72, 41
44.03, 41
50.40, 30
52.61, 23

Structure:
```
Ac6NiRh2
1.0
6.9362 -2.8753 0.0000
6.9362 2.8753 0.0000
-4.1192 0.0000 8.4300
Ac Ni Rh
6 1 2
Cartesian
-0.7103 0.0000 1.8666
0.5412 0.0000 7.6226
3.1533 0.0000 3.6105
6.5999 0.0000 4.8196
9.2119 0.0000 0.8074
10.4634 0.0000 6.5634
-2.0596 0.0000 4.2150
2.0821 0.0000 0.8385
7.6711 0.0000 7.5915
```